[1]
Starting from DFT lattice parameters and positions (PBE), the X-ray powder pattern of NaSbO12 was simulated for Cu Kα X-rays.

Largest 8 diffraction maxima, most intense first, 2θ from 5° to 70°:
| 2theta | d [Å] | intensity |
| --- | --- | --- |
| 19.80 | 4.485 | 100 |
| 34.64 | 2.589 | 72 |
| 30.72 | 2.910 | 42 |
| 23.26 | 3.825 | 40 |
| 24.31 | 3.662 | 38 |
| 45.21 | 2.006 | 35 |
| 40.22 | 2.242 | 27 |
| 36.82 | 2.441 | 24 |

Cell: 8.969 8.969 8.969 Å, 60.00 60.00 60.00°
Fractional coordinates of all 28 atoms:
Na  0.125  0.125  0.125
Na  0.875  0.875  0.875
Sb  0.375  0.375  0.375
Sb  0.625  0.625  0.625
O  0.176  0.176  0.345
O  0.176  0.176  0.803
O  0.176  0.345  0.176
O  0.176  0.345  0.803
O  0.176  0.803  0.176
O  0.176  0.803  0.345
O  0.197  0.655  0.824
O  0.197  0.824  0.655
O  0.197  0.824  0.824
O  0.345  0.176  0.176
O  0.345  0.176  0.803
O  0.345  0.803  0.176
O  0.655  0.197  0.824
O  0.655  0.824  0.197
O  0.655  0.824  0.824
O  0.803  0.176  0.176
O  0.803  0.176  0.345
O  0.803  0.345  0.176
O  0.824  0.197  0.655
O  0.824  0.197  0.824
O  0.824  0.655  0.197
O  0.824  0.655  0.824
O  0.824  0.824  0.197
O  0.824  0.824  0.655

=====

[2]
Starting from DFT lattice parameters and positions (PBE), the X-ray powder pattern of UTlO3 was simulated for Cu Kα X-rays.

Largest 7 diffraction maxima, most intense first, 2θ from 5° to 70°:
| 2theta | d [Å] | intensity |
| --- | --- | --- |
| 28.98 | 3.081 | 100 |
| 51.36 | 1.779 | 43 |
| 41.44 | 2.179 | 26 |
| 68.03 | 1.378 | 19 |
| 60.05 | 1.541 | 17 |
| 20.38 | 4.358 | 1 |
| 46.60 | 1.949 | 1 |

Cell: 4.358 4.358 4.358 Å, 90.00 90.00 90.00°
Fractional coordinates of all 5 atoms:
U  0.000  0.000  0.000
Tl  0.500  0.500  0.500
O  0.000  0.000  0.500
O  0.000  0.500  0.000
O  0.500  0.000  0.000